(1)
Theoretical powder diffractogram
Compound: KU2Co2S6
Radiation: CuKα
Structure: a structure optimized by DFT (PBE)
Intensities are scaled so that the largest is 100.

Most intense lines, 10° ≤ 2θ ≤ 90°, low angle first:
2θ 14.5, I = 92; 2θ 14.7, I = 56; 2θ 15.9, I = 100; 2θ 16.9, I = 82; 2θ 24.2, I = 48; 2θ 25.0, I = 57; 2θ 26.2, I = 53; 2θ 27.5, I = 79; 2θ 30.5, I = 89; 2θ 31.6, I = 76; 2θ 36.8, I = 58; 2θ 38.3, I = 52

Cell and atoms:
```
data_KU2Co2S6
_chemical_formula_sum 'K1 U2 Co2 S6'
_symmetry_space_group_name_H-M 'P -1'
_symmetry_Int_Tables_number 2
_symmetry_space_group_name_Hall '-P 1'
_cell_length_a 6.3180
_cell_length_b 6.9802
_cell_length_c 7.1808
_cell_angle_alpha 99.01
_cell_angle_beta 116.02
_cell_angle_gamma 109.82
loop_
_atom_site_label
_atom_site_type_symbol
_atom_site_fract_x
_atom_site_fract_y
_atom_site_fract_z
K1 K 0.0000 0.0000 0.0000
U1 U 0.3410 0.6751 0.3246
Co1 Co 0.1895 0.6197 0.6907
S1 S 0.1730 0.4311 0.9150
S2 S 0.1988 0.3569 0.4622
S3 S 0.4382 0.9401 0.6979
```

(2)
Theoretical powder diffractogram
Compound: KCo5Se8
Radiation: CuKα
Structure: a structure optimized by DFT (PBE)
Intensities are scaled so that the largest is 100.

Most intense lines, 10° ≤ 2θ ≤ 90°, low angle first:
2θ 11.0, I = 50; 2θ 12.8, I = 26; 2θ 32.6, I = 100; 2θ 34.3, I = 46; 2θ 35.0, I = 20; 2θ 39.3, I = 22; 2θ 41.6, I = 15; 2θ 47.6, I = 14; 2θ 48.1, I = 26; 2θ 50.8, I = 36; 2θ 51.5, I = 43; 2θ 61.4, I = 13

Cell and atoms:
```
data_KCo5Se8
_chemical_formula_sum 'K2 Co10 Se16'
_symmetry_space_group_name_H-M 'C 1 m 1'
_symmetry_Int_Tables_number 8
_symmetry_space_group_name_Hall 'C -2y'
_cell_length_a 18.3494
_cell_length_b 3.5945
_cell_length_c 8.3253
_cell_angle_alpha 90.00
_cell_angle_beta 105.25
_cell_angle_gamma 90.00
loop_
_atom_site_label
_atom_site_type_symbol
_atom_site_fract_x
_atom_site_fract_y
_atom_site_fract_z
K1 K 0.0000 0.0000 0.0000
Co1 Co 0.1591 0.0000 0.4840
Co2 Co 0.2041 0.0000 0.8177
Co3 Co 0.2944 0.5000 0.1836
Co4 Co 0.3401 0.5000 0.5166
Co5 Co 0.4991 0.0000 0.5009
Se1 Se 0.0727 0.0000 0.6505
Se2 Se 0.0881 0.5000 0.3368
Se3 Se 0.1761 0.5000 0.9814
Se4 Se 0.2393 0.5000 0.6532
Se5 Se 0.2596 0.0000 0.3473
Se6 Se 0.3225 0.0000 0.0194
Se7 Se 0.4106 0.0000 0.6645
Se8 Se 0.4264 0.5000 0.3484
```

(3)
Theoretical powder diffractogram
Compound: KCoSe4
Radiation: CuKα
Structure: a structure optimized by DFT (PBE)
Intensities are scaled so that the largest is 100.

Most intense lines, 10° ≤ 2θ ≤ 90°, low angle first:
2θ 18.6, I = 26; 2θ 30.6, I = 16; 2θ 36.0, I = 100; 2θ 37.7, I = 55; 2θ 43.8, I = 13; 2θ 48.0, I = 6; 2θ 54.4, I = 5; 2θ 58.0, I = 32; 2θ 63.7, I = 29; 2θ 67.0, I = 5; 2θ 75.4, I = 11; 2θ 76.4, I = 21

Cell and atoms:
```
data_KCoSe4
_chemical_formula_sum 'K4 Co4 Se16'
_symmetry_space_group_name_H-M 'F -4 3 m'
_symmetry_Int_Tables_number 216
_symmetry_space_group_name_Hall 'F -4 2 3'
_cell_length_a 8.2687
_cell_length_b 8.2687
_cell_length_c 8.2687
_cell_angle_alpha 90.00
_cell_angle_beta 90.00
_cell_angle_gamma 90.00
loop_
_atom_site_label
_atom_site_type_symbol
_atom_site_fract_x
_atom_site_fract_y
_atom_site_fract_z
K1 K 0.0000 0.0000 0.0000
Co1 Co 0.2500 0.2500 0.2500
Se1 Se 0.1236 0.1236 0.6236
```

(4)
Theoretical powder diffractogram
Compound: K2Co3Se4
Radiation: CuKα
Structure: a structure optimized by DFT (PBE)
Intensities are scaled so that the largest is 100.

Most intense lines, 10° ≤ 2θ ≤ 90°, low angle first:
2θ 12.6, I = 100; 2θ 17.6, I = 39; 2θ 18.4, I = 34; 2θ 19.8, I = 27; 2θ 30.3, I = 53; 2θ 30.9, I = 27; 2θ 36.0, I = 34; 2θ 37.8, I = 47; 2θ 42.1, I = 41; 2θ 43.7, I = 44; 2θ 44.6, I = 24; 2θ 53.0, I = 31

Cell and atoms:
```
data_K2Co3Se4
_chemical_formula_sum 'K16 Co24 Se32'
_symmetry_space_group_name_H-M 'F d d d'
_symmetry_Int_Tables_number 70
_cell_length_a 5.9122
_cell_length_b 10.2841
_cell_length_c 28.0181
_cell_angle_alpha 90.00
_cell_angle_beta 90.00
_cell_angle_gamma 90.00
loop_
_symmetry_equiv_pos_as_xyz
'x,y,z'
'-x,-y,-z'
'-x+1/4,-y+1/4,z'
'x+1/4,y+1/4,-z'
'x,-y+1/4,-z+1/4'
'-x,y+1/4,z+1/4'
'-x+1/4,y,-z+1/4'
'x+1/4,-y,z+1/4'
'x,y+1/2,z+1/2'
'-x,-y+1/2,-z+1/2'
'-x+1/4,-y+3/4,z+1/2'
'x+1/4,y+3/4,-z+1/2'
'x,-y+3/4,-z+3/4'
'-x,y+3/4,z+3/4'
'-x+1/4,y+1/2,-z+3/4'
'x+1/4,-y+1/2,z+3/4'
'x+1/2,y,z+1/2'
'-x+1/2,-y,-z+1/2'
'-x+3/4,-y+1/4,z+1/2'
'x+3/4,y+1/4,-z+1/2'
'x+1/2,-y+1/4,-z+3/4'
'-x+1/2,y+1/4,z+3/4'
'-x+3/4,y,-z+3/4'
'x+3/4,-y,z+3/4'
'x+1/2,y+1/2,z'
'-x+1/2,-y+1/2,-z'
'-x+3/4,-y+3/4,z'
'x+3/4,y+3/4,-z'
'x+1/2,-y+3/4,-z+1/4'
'-x+1/2,y+3/4,z+1/4'
'-x+3/4,y+1/2,-z+1/4'
'x+3/4,-y+1/2,z+1/4'
loop_
_atom_site_label
_atom_site_type_symbol
_atom_site_fract_x
_atom_site_fract_y
_atom_site_fract_z
K1 K 0.1250 0.1250 0.0514
Co1 Co 0.1250 0.1250 0.3758
Co2 Co 0.1250 0.1250 0.6250
Se1 Se 0.1205 0.2917 0.5682
```

(5)
Theoretical powder diffractogram
Compound: KTlCo4Se4
Radiation: CuKα
Structure: a structure optimized by DFT (PBE)
Intensities are scaled so that the largest is 100.

Most intense lines, 10° ≤ 2θ ≤ 90°, low angle first:
2θ 13.2, I = 9; 2θ 26.6, I = 19; 2θ 30.5, I = 100; 2θ 32.7, I = 13; 2θ 35.4, I = 39; 2θ 42.6, I = 9; 2θ 46.9, I = 35; 2θ 52.8, I = 41; 2θ 54.7, I = 12; 2θ 57.0, I = 33; 2θ 68.5, I = 12; 2θ 74.9, I = 10

Cell and atoms:
```
data_KTlCo4Se4
_chemical_formula_sum 'K1 Tl1 Co4 Se4'
_symmetry_space_group_name_H-M 'P 4/m m m'
_symmetry_Int_Tables_number 123
_symmetry_space_group_name_Hall '-P 4 2'
_cell_length_a 3.8749
_cell_length_b 3.8749
_cell_length_c 13.4190
_cell_angle_alpha 90.00
_cell_angle_beta 90.00
_cell_angle_gamma 90.00
loop_
_atom_site_label
_atom_site_type_symbol
_atom_site_fract_x
_atom_site_fract_y
_atom_site_fract_z
K1 K 0.0000 0.0000 0.0000
Tl1 Tl 0.5000 0.5000 0.5000
Co1 Co 0.0000 0.5000 0.2483
Se1 Se 0.0000 0.0000 0.3469
Se2 Se 0.5000 0.5000 0.1500
```

(6)
Theoretical powder diffractogram
Compound: K2UCoSe5
Radiation: CuKα
Structure: a structure optimized by DFT (PBE)
Intensities are scaled so that the largest is 100.

Most intense lines, 10° ≤ 2θ ≤ 90°, low angle first:
2θ 11.1, I = 82; 2θ 12.8, I = 54; 2θ 15.7, I = 42; 2θ 23.1, I = 19; 2θ 28.2, I = 36; 2θ 29.5, I = 100; 2θ 34.3, I = 31; 2θ 39.6, I = 33; 2θ 44.0, I = 19; 2θ 44.2, I = 20; 2θ 47.5, I = 20; 2θ 51.7, I = 21

Cell and atoms:
```
data_K2UCoSe5
_chemical_formula_sum 'K8 U4 Co4 Se20'
_symmetry_space_group_name_H-M 'C 1 m 1'
_symmetry_Int_Tables_number 8
_symmetry_space_group_name_Hall 'C -2y'
_cell_length_a 19.4963
_cell_length_b 4.1020
_cell_length_c 13.7966
_cell_angle_alpha 90.00
_cell_angle_beta 90.12
_cell_angle_gamma 90.00
loop_
_atom_site_label
_atom_site_type_symbol
_atom_site_fract_x
_atom_site_fract_y
_atom_site_fract_z
K1 K 0.0000 0.0000 0.0000
K2 K 0.0140 0.0000 0.3548
K3 K 0.2471 0.0000 0.8539
K4 K 0.2617 0.0000 0.4991
U1 U 0.3269 0.0000 0.1735
U2 U 0.4344 0.5000 0.6741
Co1 Co 0.0508 0.5000 0.7690
Co2 Co 0.2105 0.5000 0.2677
Se1 Se 0.0767 0.0000 0.6961
Se2 Se 0.1161 0.5000 0.9019
Se3 Se 0.1455 0.5000 0.4005
Se4 Se 0.1846 0.0000 0.1946
Se5 Se 0.3007 0.5000 0.6789
Se6 Se 0.3162 0.5000 0.0392
Se7 Se 0.3283 0.5000 0.3102
Se8 Se 0.4331 0.0000 0.8108
Se9 Se 0.4452 0.0000 0.5399
Se10 Se 0.4606 0.0000 0.1792
```

(7)
Theoretical powder diffractogram
Compound: KCo2Te
Radiation: CuKα
Structure: a structure optimized by DFT (PBE)
Intensities are scaled so that the largest is 100.

Most intense lines, 10° ≤ 2θ ≤ 90°, low angle first:
2θ 14.7, I = 100; 2θ 25.5, I = 16; 2θ 29.7, I = 35; 2θ 30.8, I = 19; 2θ 41.3, I = 44; 2θ 44.1, I = 37; 2θ 51.7, I = 42; 2θ 62.9, I = 11; 2θ 75.3, I = 7; 2θ 77.0, I = 11; 2θ 77.3, I = 7; 2θ 83.0, I = 10

Cell and atoms:
```
data_KCo2Te
_chemical_formula_sum 'K3 Co6 Te3'
_symmetry_space_group_name_H-M 'R -3 m'
_symmetry_Int_Tables_number 166
_symmetry_space_group_name_Hall '-R 3 2"'
_cell_length_a 4.3704
_cell_length_b 4.3704
_cell_length_c 18.0455
_cell_angle_alpha 90.00
_cell_angle_beta 90.00
_cell_angle_gamma 120.00
loop_
_atom_site_label
_atom_site_type_symbol
_atom_site_fract_x
_atom_site_fract_y
_atom_site_fract_z
K1 K 0.0000 0.0000 0.0000
Co1 Co 0.0000 0.0000 0.1747
Te1 Te 0.0000 0.0000 0.5000
```

(8)
Theoretical powder diffractogram
Compound: K2Tl2Co
Radiation: CuKα
Structure: a structure optimized by DFT (PBE)
Intensities are scaled so that the largest is 100.

Most intense lines, 10° ≤ 2θ ≤ 90°, low angle first:
2θ 14.4, I = 98; 2θ 24.8, I = 23; 2θ 27.8, I = 28; 2θ 29.0, I = 40; 2θ 31.4, I = 100; 2θ 38.5, I = 14; 2θ 39.7, I = 16; 2θ 40.6, I = 21; 2θ 49.9, I = 16; 2θ 52.9, I = 23; 2θ 54.8, I = 32; 2θ 71.0, I = 15

Cell and atoms:
```
data_K2Tl2Co
_chemical_formula_sum 'K4 Tl4 Co2'
_symmetry_space_group_name_H-M 'P 4/m b m'
_symmetry_Int_Tables_number 127
_symmetry_space_group_name_Hall '-P 4 2ab'
_cell_length_a 7.1799
_cell_length_b 7.1799
_cell_length_c 6.1583
_cell_angle_alpha 90.00
_cell_angle_beta 90.00
_cell_angle_gamma 90.00
loop_
_atom_site_label
_atom_site_type_symbol
_atom_site_fract_x
_atom_site_fract_y
_atom_site_fract_z
K1 K 0.1730 0.3270 0.0000
Tl1 Tl 0.1801 0.6801 0.5000
Co1 Co 0.0000 0.0000 0.5000
```

(9)
Theoretical powder diffractogram
Compound: KZr2Co
Radiation: CuKα
Structure: a structure optimized by DFT (PBE)
Intensities are scaled so that the largest is 100.

Most intense lines, 10° ≤ 2θ ≤ 90°, low angle first:
2θ 28.6, I = 19; 2θ 28.9, I = 25; 2θ 33.3, I = 100; 2θ 38.4, I = 68; 2θ 39.7, I = 23; 2θ 39.9, I = 64; 2θ 48.8, I = 22; 2θ 55.5, I = 22; 2θ 64.1, I = 11; 2θ 66.2, I = 25; 2θ 66.9, I = 11; 2θ 70.5, I = 22

Cell and atoms:
```
data_KZr2Co
_chemical_formula_sum 'K1 Zr2 Co1'
_symmetry_space_group_name_H-M 'P 4 m m'
_symmetry_Int_Tables_number 99
_symmetry_space_group_name_Hall 'P 4 -2'
_cell_length_a 3.3137
_cell_length_b 3.3137
_cell_length_c 9.2545
_cell_angle_alpha 90.00
_cell_angle_beta 90.00
_cell_angle_gamma 90.00
loop_
_atom_site_label
_atom_site_type_symbol
_atom_site_fract_x
_atom_site_fract_y
_atom_site_fract_z
K1 K 0.0000 0.0000 0.0000
Zr1 Zr 0.0000 0.0000 0.5955
Zr2 Zr 0.5000 0.5000 0.3745
Co1 Co 0.5000 0.5000 0.7157
```

(10)
Theoretical powder diffractogram
Compound: La5Co6
Radiation: CuKα
Structure: a structure optimized by DFT (PBE)
Intensities are scaled so that the largest is 100.

Most intense lines, 10° ≤ 2θ ≤ 90°, low angle first:
2θ 27.0, I = 40; 2θ 30.5, I = 19; 2θ 32.6, I = 100; 2θ 32.8, I = 77; 2θ 38.1, I = 35; 2θ 40.7, I = 22; 2θ 44.0, I = 29; 2θ 45.4, I = 27; 2θ 52.2, I = 19; 2θ 57.1, I = 30; 2θ 65.1, I = 18; 2θ 79.5, I = 16

Cell and atoms:
```
data_La5Co6
_chemical_formula_sum 'La10 Co12'
_symmetry_space_group_name_H-M 'C m m m'
_symmetry_Int_Tables_number 65
_symmetry_space_group_name_Hall '-C 2 2'
_cell_length_a 3.9949
_cell_length_b 29.2741
_cell_length_c 4.1127
_cell_angle_alpha 90.00
_cell_angle_beta 90.00
_cell_angle_gamma 90.00
loop_
_atom_site_label
_atom_site_type_symbol
_atom_site_fract_x
_atom_site_fract_y
_atom_site_fract_z
La1 La 0.0000 0.0000 0.0000
La2 La 0.0000 0.1964 0.5000
La3 La 0.0000 0.3882 0.0000
Co1 Co 0.0000 0.0794 0.5000
Co2 Co 0.0000 0.2711 0.0000
Co3 Co 0.0000 0.4599 0.5000
```

(11)
Theoretical powder diffractogram
Compound: La2Co3
Radiation: CuKα
Structure: a structure optimized by DFT (PBE)
Intensities are scaled so that the largest is 100.

Most intense lines, 10° ≤ 2θ ≤ 90°, low angle first:
2θ 23.5, I = 17; 2θ 30.8, I = 66; 2θ 34.2, I = 100; 2θ 34.9, I = 16; 2θ 36.8, I = 18; 2θ 38.7, I = 60; 2θ 43.5, I = 39; 2θ 44.5, I = 27; 2θ 53.9, I = 21; 2θ 64.2, I = 14; 2θ 66.0, I = 14; 2θ 67.4, I = 14

Cell and atoms:
```
data_La2Co3
_chemical_formula_sum 'La8 Co12'
_symmetry_space_group_name_H-M 'C m c e'
_symmetry_Int_Tables_number 64
_symmetry_space_group_name_Hall '-C 2ac 2'
_cell_length_a 4.7613
_cell_length_b 10.2756
_cell_length_c 7.8272
_cell_angle_alpha 90.00
_cell_angle_beta 90.00
_cell_angle_gamma 90.00
loop_
_atom_site_label
_atom_site_type_symbol
_atom_site_fract_x
_atom_site_fract_y
_atom_site_fract_z
La1 La 0.0000 0.1508 0.0895
Co1 Co 0.0000 0.0000 0.5000
Co2 Co 0.2500 0.0880 0.7500
```

(12)
Theoretical powder diffractogram
Compound: La2Co3
Radiation: CuKα
Structure: a structure optimized by DFT (PBE)
Intensities are scaled so that the largest is 100.

Most intense lines, 10° ≤ 2θ ≤ 90°, low angle first:
2θ 11.1, I = 54; 2θ 25.1, I = 28; 2θ 27.5, I = 100; 2θ 33.7, I = 23; 2θ 33.8, I = 57; 2θ 42.5, I = 54; 2θ 44.2, I = 68; 2θ 52.8, I = 16; 2θ 56.7, I = 42; 2θ 62.9, I = 16; 2θ 65.2, I = 18; 2θ 80.1, I = 16

Cell and atoms:
```
data_La2Co3
_chemical_formula_sum 'La2 Co3'
_symmetry_space_group_name_H-M 'P -3 m 1'
_symmetry_Int_Tables_number 164
_symmetry_space_group_name_Hall '-P 3 2"'
_cell_length_a 4.1007
_cell_length_b 4.1007
_cell_length_c 7.9825
_cell_angle_alpha 90.00
_cell_angle_beta 90.00
_cell_angle_gamma 120.00
loop_
_atom_site_label
_atom_site_type_symbol
_atom_site_fract_x
_atom_site_fract_y
_atom_site_fract_z
La1 La 0.3333 0.6667 0.2155
Co1 Co 0.0000 0.0000 0.5000
Co2 Co 0.3333 0.6667 0.5414
```